Computed powder diffractogram
Compound: Na3In3AsO8
Radiation: Cu Kα X-rays
Structure: DFT lattice parameters and positions (PBE)
Neutral-atom scattering factors, no anomalous dispersion.

Top 10 peaks for 10 to 80 degrees two-theta, by intensity:
two_theta	I_rel
15.84	1000
38.56	768
33.64	414
32.30	382
54.59	233
56.75	228
50.01	176
32.00	174
59.31	172
66.64	138

Atomic structure:
a b c (Å): 6.733 6.733 6.733
angles (deg): 57.62 57.62 57.62
Fractional positions:
Na: 0.000 0.500 0.500
Na: 0.500 0.000 0.500
Na: 0.500 0.500 0.000
In: 0.000 0.000 0.500
In: 0.000 0.500 0.000
In: 0.500 0.000 0.000
As: 0.500 0.500 0.500
O: 0.236 0.236 0.236
O: 0.265 0.716 0.716
O: 0.284 0.284 0.735
O: 0.284 0.735 0.284
O: 0.716 0.265 0.716
O: 0.716 0.716 0.265
O: 0.735 0.284 0.284
O: 0.764 0.764 0.764